Theoretical powder XRD pattern
Compound: Na5MgP2
Radiation: Cu Kα X-rays
Structure: a PBE-relaxed structure

Cell lengths 5.154, 5.154, 17.660 Å; angles 90.00, 90.00, 120.00 degrees
Element x y z (fractional)
1 Na 0.000 0.000 0.132
2 Na 0.000 0.000 0.368
3 Na 0.000 0.000 0.632
4 Na 0.000 0.000 0.868
5 Na 0.333 0.667 0.052
6 Na 0.333 0.667 0.250
7 Na 0.333 0.667 0.448
8 Na 0.667 0.333 0.552
9 Na 0.667 0.333 0.750
10 Na 0.667 0.333 0.948
11 Mg 0.333 0.667 0.750
12 Mg 0.667 0.333 0.250
13 P 0.333 0.667 0.612
14 P 0.333 0.667 0.888
15 P 0.667 0.333 0.112
16 P 0.667 0.333 0.388

Most intense lines, 10 to 90 degrees two-theta, low angle first:
2theta	I_rel
28.4	20.0
32.3	20.6
34.8	100.0
36.6	15.2
41.1	20.0
62.4	16.0

Theoretical powder XRD pattern
Compound: Na2MgP2S6
Radiation: Cu Kα X-rays
Structure: a PBE-relaxed structure

Cell lengths 6.576, 6.576, 6.575 Å; angles 90.00, 90.00, 120.00 degrees
Element x y z (fractional)
1 Na 0.333 0.667 0.372
2 Na 0.667 0.333 0.628
3 Mg 0.000 0.000 0.000
4 P 0.333 0.667 0.856
5 P 0.667 0.333 0.144
6 S 0.081 0.343 0.748
7 S 0.262 0.919 0.748
8 S 0.343 0.262 0.252
9 S 0.657 0.738 0.748
10 S 0.738 0.081 0.252
11 S 0.919 0.657 0.252

Most intense lines, 10 to 90 degrees two-theta, low angle first:
2theta	I_rel
20.6	59.0
27.1	56.3
30.4	100.0
31.4	63.3
34.3	38.0
42.0	51.6

Theoretical powder XRD pattern
Compound: NaMgPS4
Radiation: Cu Kα X-rays
Structure: a PBE-relaxed structure

Cell lengths 6.926, 6.926, 7.438 Å; angles 90.00, 90.00, 113.07 degrees
Element x y z (fractional)
1 Na 0.000 0.000 0.000
2 Na 0.000 0.000 0.500
3 Mg 0.370 0.630 0.750
4 Mg 0.630 0.370 0.250
5 P 0.358 0.642 0.250
6 P 0.642 0.358 0.750
7 S 0.250 0.750 0.031
8 S 0.250 0.750 0.469
9 S 0.257 0.317 0.250
10 S 0.317 0.257 0.750
11 S 0.683 0.743 0.250
12 S 0.743 0.683 0.750
13 S 0.750 0.250 0.531
14 S 0.750 0.250 0.969

Most intense lines, 10 to 90 degrees two-theta, low angle first:
2theta	I_rel
13.9	34.8
23.3	43.0
27.8	80.6
28.0	77.4
28.5	54.6
46.4	100.0

Theoretical powder XRD pattern
Compound: Na3Mg2PaS6
Radiation: Cu Kα X-rays
Structure: a PBE-relaxed structure

Cell lengths 6.641, 6.641, 7.036 Å; angles 99.04, 99.04, 120.01 degrees
Element x y z (fractional)
1 Na 0.000 0.000 0.000
2 Na 0.332 0.668 0.000
3 Na 0.668 0.332 0.000
4 Mg 0.166 0.834 0.500
5 Mg 0.834 0.166 0.500
6 Pa 0.500 0.500 0.500
7 S 0.093 0.427 0.280
8 S 0.240 0.240 0.720
9 S 0.427 0.093 0.280
10 S 0.573 0.907 0.720
11 S 0.760 0.760 0.280
12 S 0.907 0.573 0.720

Most intense lines, 10 to 90 degrees two-theta, low angle first:
2theta	I_rel
13.3	50.4
16.0	42.4
17.8	34.0
32.3	100.0
45.4	32.2
47.4	30.7

Theoretical powder XRD pattern
Compound: NaMg5Pb2
Radiation: Cu Kα X-rays
Structure: a PBE-relaxed structure

Cell lengths 12.621, 9.426, 3.631 Å; angles 90.00, 106.34, 90.00 degrees
Element x y z (fractional)
1 Na 0.000 0.000 0.000
2 Na 0.500 0.500 0.000
3 Mg 0.000 0.500 0.000
4 Mg 0.131 0.292 0.629
5 Mg 0.131 0.708 0.629
6 Mg 0.369 0.208 0.371
7 Mg 0.369 0.792 0.371
8 Mg 0.500 0.000 0.000
9 Mg 0.631 0.208 0.629
10 Mg 0.631 0.792 0.629
11 Mg 0.869 0.292 0.371
12 Mg 0.869 0.708 0.371
13 Pb 0.234 0.000 0.738
14 Pb 0.266 0.500 0.262
15 Pb 0.734 0.500 0.738
16 Pb 0.766 0.000 0.262

Most intense lines, 10 to 90 degrees two-theta, low angle first:
2theta	I_rel
14.6	100.0
18.8	61.2
23.9	66.3
26.3	60.8
30.1	47.3
35.2	52.4

Theoretical powder XRD pattern
Compound: Na6MgPb2
Radiation: Cu Kα X-rays
Structure: a PBE-relaxed structure

Cell lengths 5.989, 5.989, 9.458 Å; angles 95.43, 95.43, 55.54 degrees
Element x y z (fractional)
1 Na 0.018 0.018 0.212
2 Na 0.195 0.195 0.559
3 Na 0.331 0.331 0.900
4 Na 0.669 0.669 0.100
5 Na 0.805 0.805 0.441
6 Na 0.982 0.982 0.788
7 Mg 0.500 0.500 0.500
8 Pb 0.338 0.338 0.240
9 Pb 0.662 0.662 0.760

Most intense lines, 10 to 90 degrees two-theta, low angle first:
2theta	I_rel
18.4	79.8
18.9	83.3
19.9	95.7
20.8	100.0
30.1	75.7
37.2	87.4

What did the fourth record say?
Theoretical powder XRD pattern
Compound: Na3Mg2PaS6
Radiation: Cu Kα X-rays
Structure: a PBE-relaxed structure

Cell lengths 6.641, 6.641, 7.036 Å; angles 99.04, 99.04, 120.01 degrees
Element x y z (fractional)
1 Na 0.000 0.000 0.000
2 Na 0.332 0.668 0.000
3 Na 0.668 0.332 0.000
4 Mg 0.166 0.834 0.500
5 Mg 0.834 0.166 0.500
6 Pa 0.500 0.500 0.500
7 S 0.093 0.427 0.280
8 S 0.240 0.240 0.720
9 S 0.427 0.093 0.280
10 S 0.573 0.907 0.720
11 S 0.760 0.760 0.280
12 S 0.907 0.573 0.720

Most intense lines, 10 to 90 degrees two-theta, low angle first:
2theta	I_rel
13.3	50.4
16.0	42.4
17.8	34.0
32.3	100.0
45.4	32.2
47.4	30.7

What is the formula in the first record? Na5MgP2

What did the fifth record say?
Theoretical powder XRD pattern
Compound: NaMg5Pb2
Radiation: Cu Kα X-rays
Structure: a PBE-relaxed structure

Cell lengths 12.621, 9.426, 3.631 Å; angles 90.00, 106.34, 90.00 degrees
Element x y z (fractional)
1 Na 0.000 0.000 0.000
2 Na 0.500 0.500 0.000
3 Mg 0.000 0.500 0.000
4 Mg 0.131 0.292 0.629
5 Mg 0.131 0.708 0.629
6 Mg 0.369 0.208 0.371
7 Mg 0.369 0.792 0.371
8 Mg 0.500 0.000 0.000
9 Mg 0.631 0.208 0.629
10 Mg 0.631 0.792 0.629
11 Mg 0.869 0.292 0.371
12 Mg 0.869 0.708 0.371
13 Pb 0.234 0.000 0.738
14 Pb 0.266 0.500 0.262
15 Pb 0.734 0.500 0.738
16 Pb 0.766 0.000 0.262

Most intense lines, 10 to 90 degrees two-theta, low angle first:
2theta	I_rel
14.6	100.0
18.8	61.2
23.9	66.3
26.3	60.8
30.1	47.3
35.2	52.4